For Ta2GeAu2, DFT lattice parameters and positions (PBE) gives the calculated powder XRD pattern in this record (copper Kα).
No peak broadening, texture or thermal motion is included.

Largest 12 diffraction maxima, low angle first, 2θ = 5–70°:
(0 0 2), 2θ 12.53, intensity 212; (1 0 1), 2θ 24.44, intensity 510; (1 0 3), 2θ 30.38, intensity 161; (1 1 2), 2θ 36.02, intensity 1000; (0 0 6), 2θ 38.22, intensity 257; (1 0 5), 2θ 39.88, intensity 526; (1 1 4), 2θ 42.49, intensity 687; (2 0 0), 2θ 48.30, intensity 472; (0 0 8), 2θ 51.77, intensity 81; (2 1 1), 2θ 54.86, intensity 119; (2 0 6), 2θ 63.20, intensity 268; (2 1 5), 2θ 64.35, intensity 287

Crystal structure
Unit cell a=3.769 b=3.769 c=14.127 alpha=90.00 beta=90.00 gamma=90.00
Atoms (fractional coordinates):
Ta1 0.000 0.500 0.250
Ta2 0.000 0.500 0.750
Ta3 0.500 0.000 0.250
Ta4 0.500 0.000 0.750
Ge1 0.000 0.000 0.000
Ge2 0.500 0.500 0.500
Au1 0.000 0.000 0.402
Au2 0.000 0.000 0.598
Au3 0.500 0.500 0.098
Au4 0.500 0.500 0.902